Entry 1:
This entry pairs a crystal structure of EuIn2Se4 with its computed powder diffraction line list. Radiation: Cu Kα (weighted mean of Kα1 and Kα2). Structure: a structure optimized by DFT (PBE).
Kinematic intensities with the Lorentz-polarization factor, no thermal factor.

Structural model:
```
14
Lattice="3.428 -5.448 0.000 3.428 5.448 0.000 0.000 0.000 11.036" Properties=species:S:1:pos:R:3 pbc="T T T"
Eu 0.000 0.000 2.759
Eu 0.000 0.000 8.277
In 3.405 2.444 0.000
In 3.451 2.444 5.518
In 3.405 -2.444 5.518
In 3.451 -2.444 0.000
Se 1.714 2.724 2.016
Se 1.714 2.724 9.021
Se 1.471 0.750 5.518
Se 1.471 -0.750 0.000
Se 1.714 -2.724 3.502
Se 1.714 -2.724 7.534
Se 5.385 0.750 0.000
Se 5.385 -0.750 5.518
```

Main lines, by intensity (2θ from 5° to 70°):
34.94°, I = 100
32.45°, I = 26
15.27°, I = 24
28.97°, I = 24
22.23°, I = 24
28.73°, I = 23
27.80°, I = 20
32.88°, I = 20
46.74°, I = 15
43.24°, I = 13
43.67°, I = 13
54.37°, I = 12

***

Entry 2:
This entry pairs a crystal structure of EuInSn4 with its computed powder diffraction line list. Radiation: Cu Kα (weighted mean of Kα1 and Kα2). Structure: a structure optimized by DFT (PBE).
Kinematic intensities with the Lorentz-polarization factor, no thermal factor.

Structural model:
```
6
Lattice="0.000 4.429 4.429 4.429 0.000 4.429 4.429 4.429 0.000" Properties=species:S:1:pos:R:3 pbc="T T T"
Eu 0.000 0.000 0.000
In 6.643 6.643 6.643
Sn 3.323 3.323 3.323
Sn 5.534 5.534 3.323
Sn 5.534 3.323 5.534
Sn 3.323 5.534 5.534
```

Main lines, by intensity (2θ from 5° to 70°):
33.56°, I = 100
35.10°, I = 37
53.78°, I = 35
58.99°, I = 30
28.50°, I = 29
69.60°, I = 12
50.48°, I = 12
66.80°, I = 5
40.75°, I = 4
17.34°, I = 3
44.59°, I = 1
61.98°, I = 1

***

Entry 3:
This entry pairs a crystal structure of EuTmIn4 with its computed powder diffraction line list. Radiation: Cu Kα (weighted mean of Kα1 and Kα2). Structure: a structure optimized by DFT (PBE).
Kinematic intensities with the Lorentz-polarization factor, no thermal factor.

Structural model:
```
6
Lattice="0.000 4.291 4.291 4.291 0.000 4.291 4.291 4.291 0.000" Properties=species:S:1:pos:R:3 pbc="T T T"
Eu 0.000 0.000 0.000
Tm 6.437 6.437 6.437
In 3.219 3.219 3.219
In 5.363 5.363 3.219
In 5.363 3.219 5.363
In 3.219 5.363 5.363
```

Main lines, by intensity (2θ from 5° to 70°):
34.67°, I = 100
29.44°, I = 37
55.65°, I = 34
36.26°, I = 30
61.08°, I = 28
52.21°, I = 15
69.24°, I = 7
42.11°, I = 1

***

Entry 4:
This entry pairs a crystal structure of Eu4Ir with its computed powder diffraction line list. Radiation: Cu Kα (weighted mean of Kα1 and Kα2). Structure: a structure optimized by DFT (PBE).
Kinematic intensities with the Lorentz-polarization factor, no thermal factor.

Structural model:
```
10
Lattice="-4.578 4.578 4.185 4.578 -4.578 4.185 4.578 4.578 -4.185" Properties=species:S:1:pos:R:3 pbc="T T T"
Eu 2.802 2.289 -0.447
Eu 6.353 2.289 -0.447
Eu 0.000 0.513 1.646
Eu 4.578 0.513 2.540
Eu 0.000 4.064 1.646
Eu 4.578 4.064 2.540
Eu -1.775 2.289 4.632
Eu 1.775 2.289 4.632
Ir 4.578 -2.289 3.139
Ir 0.000 6.867 1.046
```

Main lines, by intensity (2θ from 5° to 70°):
31.19°, I = 100
28.91°, I = 92
33.58°, I = 70
37.00°, I = 51
14.34°, I = 48
19.39°, I = 46
37.78°, I = 42
47.40°, I = 36
51.06°, I = 35
39.37°, I = 34
54.07°, I = 23
27.56°, I = 22

***

Entry 5:
This entry pairs a crystal structure of Eu5Ir with its computed powder diffraction line list. Radiation: Cu Kα (weighted mean of Kα1 and Kα2). Structure: a structure optimized by DFT (PBE).
Kinematic intensities with the Lorentz-polarization factor, no thermal factor.

Structural model:
```
6
Lattice="2.187 -7.844 0.000 2.187 7.844 0.000 0.000 0.000 5.678" Properties=species:S:1:pos:R:3 pbc="T T T"
Eu 0.000 0.000 0.000
Eu 2.187 5.872 2.839
Eu 2.187 2.546 0.000
Eu 2.187 -2.546 0.000
Eu 2.187 -5.872 2.839
Ir 2.187 0.000 2.839
```

Main lines, by intensity (2θ from 5° to 70°):
30.96°, I = 100
31.51°, I = 29
55.76°, I = 19
38.71°, I = 14
41.28°, I = 14
11.28°, I = 14
52.84°, I = 14
68.87°, I = 11
34.30°, I = 11
47.26°, I = 9
64.52°, I = 7
35.20°, I = 6

***

Entry 6:
This entry pairs a crystal structure of LiEu2Ir with its computed powder diffraction line list. Radiation: Cu Kα (weighted mean of Kα1 and Kα2). Structure: a structure optimized by DFT (PBE).
Kinematic intensities with the Lorentz-polarization factor, no thermal factor.

Structural model:
```
4
Lattice="0.000 3.598 3.598 3.598 0.000 3.598 3.598 3.598 0.000" Properties=species:S:1:pos:R:3 pbc="T T T"
Li 0.000 0.000 0.000
Eu 1.799 1.799 1.799
Eu 5.397 5.397 5.397
Ir 3.598 3.598 3.598
```

Main lines, by intensity (2θ from 5° to 70°):
35.27°, I = 100
63.31°, I = 37
21.39°, I = 31
50.74°, I = 18
41.62°, I = 17
55.67°, I = 7
24.74°, I = 6
67.65°, I = 6
57.25°, I = 2
43.57°, I = 2

***

Entry 7:
This entry pairs a crystal structure of LiEuLuIr with its computed powder diffraction line list. Radiation: Cu Kα (weighted mean of Kα1 and Kα2). Structure: a structure optimized by DFT (PBE).
Kinematic intensities with the Lorentz-polarization factor, no thermal factor.

Structural model:
```
4
Lattice="0.000 3.490 3.490 3.490 0.000 3.490 3.490 3.490 0.000" Properties=species:S:1:pos:R:3 pbc="T T T"
Li 0.000 0.000 0.000
Eu 1.745 1.745 1.745
Lu 5.234 5.234 5.234
Ir 3.490 3.490 3.490
```

Main lines, by intensity (2θ from 5° to 70°):
36.41°, I = 100
65.52°, I = 36
22.06°, I = 30
52.44°, I = 18
42.98°, I = 16
25.53°, I = 8
57.57°, I = 7
59.21°, I = 3
45.00°, I = 2

***

Entry 8:
This entry pairs a crystal structure of EuLuIr4 with its computed powder diffraction line list. Radiation: Cu Kα (weighted mean of Kα1 and Kα2). Structure: a structure optimized by DFT (PBE).
Kinematic intensities with the Lorentz-polarization factor, no thermal factor.

Structural model:
```
6
Lattice="0.000 3.794 3.794 3.794 0.000 3.794 3.794 3.794 0.000" Properties=species:S:1:pos:R:3 pbc="T T T"
Eu 0.000 0.000 0.000
Lu 1.897 1.897 1.897
Ir 4.741 2.847 2.847
Ir 2.847 4.741 2.847
Ir 2.847 2.847 4.741
Ir 4.741 4.741 4.741
```

Main lines, by intensity (2θ from 5° to 70°):
39.39°, I = 100
41.21°, I = 45
63.73°, I = 33
33.40°, I = 22
20.27°, I = 11
59.70°, I = 9
47.96°, I = 7
52.57°, I = 3